No. 1
Diffraction record for Be8Nb3Mo. The powder X-ray diffraction pattern is calculated, not measured: it uses the GGA-PBE geometry in Alexandria and CuKα.

Largest 12 diffraction maxima, sorted by position, 2θ from 5° to 70°:
- 2θ = 22.34°, I = 81
- 2θ = 23.92°, I = 41
- 2θ = 25.38°, I = 59
- 2θ = 32.96°, I = 30
- 2θ = 39.21°, I = 91
- 2θ = 42.97°, I = 100
- 2θ = 45.59°, I = 15
- 2θ = 46.45°, I = 59
- 2θ = 47.28°, I = 19
- 2θ = 59.57°, I = 28
- 2θ = 61.66°, I = 9
- 2θ = 67.15°, I = 26

Cell lengths 4.596, 4.596, 7.439 Å; angles 90.00, 90.00, 120.00 degrees
Fractional coordinates of all 12 atoms:
1 Be 0.000 0.000 0.000
2 Be 0.000 0.000 0.499
3 Be 0.170 0.341 0.745
4 Be 0.170 0.830 0.745
5 Be 0.344 0.172 0.252
6 Be 0.659 0.830 0.745
7 Be 0.828 0.172 0.252
8 Be 0.828 0.656 0.252
9 Nb 0.333 0.667 0.066
10 Nb 0.333 0.667 0.436
11 Nb 0.667 0.333 0.930
12 Mo 0.667 0.333 0.565

No. 2
Diffraction record for Be17NbMo. The powder X-ray diffraction pattern is calculated, not measured: it uses the GGA-PBE geometry in Alexandria and CuKα.

Largest 12 diffraction maxima, sorted by position, 2θ from 5° to 70°:
- 2θ = 16.24°, I = 70
- 2θ = 21.77°, I = 25
- 2θ = 24.26°, I = 100
- 2θ = 25.06°, I = 31
- 2θ = 29.34°, I = 22
- 2θ = 35.17°, I = 96
- 2θ = 36.57°, I = 19
- 2θ = 38.43°, I = 20
- 2θ = 42.69°, I = 36
- 2θ = 49.71°, I = 29
- 2θ = 50.15°, I = 52
- 2θ = 51.21°, I = 16

Cell lengths 5.528, 5.528, 5.528 Å; angles 83.14, 83.14, 83.14 degrees
Fractional coordinates of all 19 atoms:
1 Be 0.057 0.057 0.057
2 Be 0.153 0.153 0.656
3 Be 0.153 0.656 0.153
4 Be 0.157 0.450 0.856
5 Be 0.157 0.856 0.450
6 Be 0.256 0.256 0.256
7 Be 0.317 0.805 0.805
8 Be 0.450 0.157 0.856
9 Be 0.450 0.856 0.157
10 Be 0.502 0.502 0.996
11 Be 0.502 0.996 0.502
12 Be 0.656 0.153 0.153
13 Be 0.805 0.317 0.805
14 Be 0.805 0.805 0.317
15 Be 0.856 0.157 0.450
16 Be 0.856 0.450 0.157
17 Be 0.996 0.502 0.502
18 Nb 0.815 0.815 0.815
19 Mo 0.495 0.495 0.495

No. 3
Diffraction record for BeNiMo2. The powder X-ray diffraction pattern is calculated, not measured: it uses the GGA-PBE geometry in Alexandria and CuKα.

Largest 12 diffraction maxima, sorted by position, 2θ from 5° to 70°:
- 2θ = 22.56°, I = 28
- 2θ = 27.08°, I = 16
- 2θ = 35.01°, I = 18
- 2θ = 42.05°, I = 100
- 2θ = 42.49°, I = 5
- 2θ = 46.05°, I = 19
- 2θ = 50.35°, I = 29
- 2θ = 55.84°, I = 9
- 2θ = 58.10°, I = 4
- 2θ = 59.13°, I = 8
- 2θ = 64.44°, I = 1
- 2θ = 67.95°, I = 2

Cell lengths 3.624, 3.624, 7.884 Å; angles 90.00, 90.00, 90.00 degrees
Fractional coordinates of all 8 atoms:
1 Be 0.000 0.000 0.000
2 Be 0.500 0.500 0.500
3 Ni 0.000 0.000 0.500
4 Ni 0.500 0.500 0.000
5 Mo 0.000 0.500 0.250
6 Mo 0.000 0.500 0.750
7 Mo 0.500 0.000 0.250
8 Mo 0.500 0.000 0.750

Please write out number 3 again, unchanged.
Diffraction record for BeNiMo2. The powder X-ray diffraction pattern is calculated, not measured: it uses the GGA-PBE geometry in Alexandria and CuKα.

Largest 12 diffraction maxima, sorted by position, 2θ from 5° to 70°:
- 2θ = 22.56°, I = 28
- 2θ = 27.08°, I = 16
- 2θ = 35.01°, I = 18
- 2θ = 42.05°, I = 100
- 2θ = 42.49°, I = 5
- 2θ = 46.05°, I = 19
- 2θ = 50.35°, I = 29
- 2θ = 55.84°, I = 9
- 2θ = 58.10°, I = 4
- 2θ = 59.13°, I = 8
- 2θ = 64.44°, I = 1
- 2θ = 67.95°, I = 2

Cell lengths 3.624, 3.624, 7.884 Å; angles 90.00, 90.00, 90.00 degrees
Fractional coordinates of all 8 atoms:
1 Be 0.000 0.000 0.000
2 Be 0.500 0.500 0.500
3 Ni 0.000 0.000 0.500
4 Ni 0.500 0.500 0.000
5 Mo 0.000 0.500 0.250
6 Mo 0.000 0.500 0.750
7 Mo 0.500 0.000 0.250
8 Mo 0.500 0.000 0.750